1.
The following is a computed powder diffraction line list of LiNi9S10. It was derived from a structure optimized by DFT (GGA-PBE), using Cu Ka.
Peak positions follow from Bragg's law for the DFT cell and can differ from measured ones.

Top 10 peaks for 2θ from 15° to 90°, in order of falling intensity:
d 2.980, 30.0 deg, I 100; d 1.979, 45.8 deg, I 93; d 1.974, 46.0 deg, I 93; d 1.960, 46.3 deg, I 92; d 1.726, 53.1 deg, I 86; d 2.602, 34.5 deg, I 62; d 2.995, 29.8 deg, I 53; d 1.718, 53.3 deg, I 42; d 1.301, 72.7 deg, I 42; d 2.581, 34.8 deg, I 31

Crystal structure
```
LiNi9S10
1.0
8.6017 0.0000 0.0000
0.0000 5.9895 0.0000
-5.0079 0.0000 10.4846
Li Ni S
2 18 20
Direct
0.0000 0.0000 0.0000
0.0000 0.5000 0.5000
0.0954 0.0008 0.4037
0.0954 0.4992 0.9037
0.1993 0.0098 0.8071
0.1993 0.4902 0.3071
0.2941 0.5035 0.6998
0.2941 0.9965 0.1998
0.4081 0.0023 0.5962
0.4081 0.4977 0.0962
0.5000 0.0000 0.0000
0.5000 0.5000 0.5000
0.5919 0.5023 0.9038
0.5919 0.9977 0.4038
0.7059 0.0035 0.8002
0.7059 0.4965 0.3002
0.8007 0.5098 0.6929
0.8007 0.9902 0.1929
0.9046 0.5008 0.0963
0.9046 0.9992 0.5963
0.0573 0.1673 0.2117
0.0573 0.3327 0.7117
0.1621 0.6502 0.1071
0.1621 0.8498 0.6071
0.2700 0.1655 0.0126
0.2700 0.3345 0.5126
0.3359 0.6648 0.8935
0.3359 0.8352 0.3935
0.4560 0.1792 0.8075
0.4560 0.3208 0.3075
0.5440 0.6792 0.6925
0.5440 0.8208 0.1925
0.6641 0.1648 0.6065
0.6641 0.3352 0.1065
0.7300 0.6655 0.4874
0.7300 0.8345 0.9874
0.8379 0.1502 0.3929
0.8379 0.3498 0.8929
0.9427 0.6673 0.2883
0.9427 0.8327 0.7883
```

***

2.
The following is a computed powder diffraction line list of LiUNi2S4. It was derived from a structure optimized by DFT (GGA-PBE), using Cu Ka.
Peak positions follow from Bragg's law for the DFT cell and can differ from measured ones.

Top 10 peaks for 2θ from 15° to 90°, in order of falling intensity:
d 4.594, 19.3 deg, I 100; d 2.701, 33.2 deg, I 82; d 2.563, 35.0 deg, I 59; d 1.698, 54.0 deg, I 44; d 2.184, 41.3 deg, I 36; d 3.089, 28.9 deg, I 25; d 2.148, 42.1 deg, I 19; d 1.973, 46.0 deg, I 15; d 1.763, 51.8 deg, I 15; d 2.297, 39.2 deg, I 15

Crystal structure
```
LiUNi2S4
1.0
-3.0880 3.0896 3.4362
3.0880 -3.0896 3.4362
3.0880 3.0896 -3.4362
Li U Ni S
1 1 2 4
Direct
0.0000 0.0000 0.0000
0.5000 0.5000 0.0000
0.2431 0.7431 0.5000
0.7569 0.2569 0.5000
0.0180 0.0162 0.4290
0.4128 0.9838 0.0018
0.5872 0.5891 0.5710
0.9820 0.4109 0.9982
```

***

3.
The following is a computed powder diffraction line list of LiU2NiS5. It was derived from a structure optimized by DFT (GGA-PBE), using Cu Ka.
Peak positions follow from Bragg's law for the DFT cell and can differ from measured ones.

Top 10 peaks for 2θ from 15° to 90°, in order of falling intensity:
d 2.597, 34.5 deg, I 100; d 3.391, 26.3 deg, I 74; d 5.653, 15.7 deg, I 62; d 3.884, 22.9 deg, I 56; d 2.348, 38.3 deg, I 51; d 2.134, 42.3 deg, I 44; d 2.375, 37.9 deg, I 42; d 2.651, 33.8 deg, I 33; d 3.583, 24.8 deg, I 33; d 3.201, 27.9 deg, I 33

Crystal structure
```
LiU2NiS5
1.0
1.8411 -7.7688 0.0000
1.8411 7.7688 0.0000
0.0000 0.0000 11.3065
Li U Ni S
2 4 2 10
Direct
0.1719 0.8281 0.5000
0.8281 0.1719 0.0000
0.1191 0.8809 0.8152
0.1239 0.8761 0.1675
0.8761 0.1239 0.6675
0.8809 0.1191 0.3152
0.4516 0.5484 0.8843
0.5484 0.4516 0.3843
0.0072 0.9928 0.4777
0.3059 0.6941 0.1616
0.3139 0.6861 0.8270
0.3345 0.6655 0.4907
0.4949 0.5051 0.2088
0.5051 0.4949 0.7088
0.6655 0.3345 0.9907
0.6861 0.3139 0.3270
0.6941 0.3059 0.6616
0.9928 0.0072 0.9777
```

***

4.
The following is a computed powder diffraction line list of LiNi2Sb2. It was derived from a structure optimized by DFT (GGA-PBE), using Cu Ka.
Peak positions follow from Bragg's law for the DFT cell and can differ from measured ones.

Top 10 peaks for 2θ from 15° to 90°, in order of falling intensity:
d 3.919, 22.7 deg, I 100; d 2.040, 44.4 deg, I 85; d 2.795, 32.0 deg, I 55; d 2.090, 43.3 deg, I 48; d 5.639, 15.7 deg, I 42; d 1.197, 80.2 deg, I 28; d 1.844, 49.4 deg, I 24; d 1.674, 54.9 deg, I 23; d 2.618, 34.3 deg, I 21; d 1.478, 62.9 deg, I 15

Crystal structure
```
LiNi2Sb2
1.0
-2.0898 2.0898 5.6390
2.0898 -2.0898 5.6390
2.0898 2.0898 -5.6390
Li Ni Sb
1 2 2
Direct
0.0000 0.0000 0.0000
0.2500 0.7500 0.5000
0.7500 0.2500 0.5000
0.3718 0.3718 0.0000
0.6282 0.6282 0.0000
```

***

5.
The following is a computed powder diffraction line list of LiScNi5. It was derived from a structure optimized by DFT (GGA-PBE), using Cu Ka.
Peak positions follow from Bragg's law for the DFT cell and can differ from measured ones.

Top 10 peaks for 2θ from 15° to 90°, in order of falling intensity:
d 2.207, 40.9 deg, I 100; d 1.898, 47.9 deg, I 60; d 4.249, 20.9 deg, I 50; d 1.856, 49.1 deg, I 39; d 1.903, 47.8 deg, I 33; d 1.972, 46.0 deg, I 28; d 2.339, 38.5 deg, I 26; d 2.124, 42.6 deg, I 23; d 1.862, 48.9 deg, I 21; d 2.049, 44.2 deg, I 17

Crystal structure
```
LiScNi5
1.0
7.7428 0.0000 0.0000
0.0000 4.7131 0.0000
0.0000 0.0000 9.8153
Li Sc Ni
4 4 20
Direct
0.1318 0.2500 0.1457
0.3682 0.7500 0.6457
0.6318 0.2500 0.3543
0.8682 0.7500 0.8543
0.2469 0.7500 0.9416
0.2531 0.2500 0.4416
0.7469 0.7500 0.5584
0.7531 0.2500 0.0584
0.0592 0.2500 0.9060
0.0722 0.5045 0.6896
0.0722 0.9955 0.6896
0.0978 0.7500 0.4811
0.1821 0.7500 0.2493
0.3179 0.2500 0.7493
0.4022 0.2500 0.9811
0.4278 0.0045 0.1896
0.4278 0.4955 0.1896
0.4408 0.7500 0.4060
0.5592 0.2500 0.5940
0.5722 0.5045 0.8104
0.5722 0.9955 0.8104
0.5978 0.7500 0.0189
0.6821 0.7500 0.2507
0.8179 0.2500 0.7507
0.9022 0.2500 0.5189
0.9278 0.0045 0.3104
0.9278 0.4955 0.3104
0.9408 0.7500 0.0940
```

***

6.
The following is a computed powder diffraction line list of LiNiSe. It was derived from a structure optimized by DFT (GGA-PBE), using Cu Ka.
Peak positions follow from Bragg's law for the DFT cell and can differ from measured ones.

Top 10 peaks for 2θ from 15° to 90°, in order of falling intensity:
d 3.483, 25.6 deg, I 100; d 3.525, 25.3 deg, I 65; d 2.055, 44.1 deg, I 52; d 1.875, 48.6 deg, I 47; d 3.158, 28.3 deg, I 47; d 1.823, 50.0 deg, I 44; d 2.129, 42.4 deg, I 38; d 3.753, 23.7 deg, I 37; d 2.099, 43.1 deg, I 37; d 1.669, 55.0 deg, I 23

Crystal structure
```
LiNiSe
1.0
3.7567 -2.0864 0.0000
3.7567 2.0864 0.0000
-3.4612 0.0000 6.3157
Li Ni Se
2 2 2
Direct
0.2425 0.2425 0.1550
0.7575 0.7575 0.8450
0.2885 0.3470 0.6189
0.6530 0.7115 0.3811
0.1774 0.8226 0.5000
0.5006 0.4994 0.0000
```

***

7.
The following is a computed powder diffraction line list of LiNiSe. It was derived from a structure optimized by DFT (GGA-PBE), using Cu Ka.
Peak positions follow from Bragg's law for the DFT cell and can differ from measured ones.

Top 10 peaks for 2θ from 15° to 90°, in order of falling intensity:
d 2.029, 44.7 deg, I 100; d 3.307, 27.0 deg, I 93; d 2.010, 45.1 deg, I 88; d 3.266, 27.3 deg, I 61; d 1.723, 53.1 deg, I 55; d 3.459, 25.8 deg, I 32; d 1.168, 82.6 deg, I 28; d 1.428, 65.4 deg, I 28; d 1.937, 46.9 deg, I 19; d 2.190, 41.2 deg, I 18

Crystal structure
```
LiNiSe
1.0
2.0286 1.1712 6.5325
-2.0286 1.1712 6.5325
0.0000 -2.3424 6.5325
Li Ni Se
2 2 2
Direct
0.1253 0.1253 0.1253
0.8747 0.8747 0.8747
0.3655 0.3655 0.3655
0.6345 0.6345 0.6345
0.0000 0.0000 0.0000
0.5000 0.5000 0.5000
```

***

8.
The following is a computed powder diffraction line list of Li4Th3NiSe8. It was derived from a structure optimized by DFT (GGA-PBE), using Cu Ka.
Peak positions follow from Bragg's law for the DFT cell and can differ from measured ones.

Top 10 peaks for 2θ from 15° to 90°, in order of falling intensity:
d 2.835, 31.6 deg, I 100; d 2.932, 30.5 deg, I 55; d 2.016, 45.0 deg, I 54; d 3.433, 26.0 deg, I 42; d 2.061, 43.9 deg, I 40; d 3.562, 25.0 deg, I 29; d 2.620, 34.2 deg, I 27; d 1.649, 55.7 deg, I 22; d 2.180, 41.4 deg, I 20; d 1.994, 45.5 deg, I 19

Crystal structure
```
Li4Th3NiSe8
1.0
7.0131 -3.9888 0.0000
7.0131 3.9888 0.0000
-4.4240 0.0000 6.7437
Li Th Ni Se
4 3 1 8
Direct
0.0000 0.0000 0.0000
0.0000 0.5000 0.5000
0.5000 0.0000 0.5000
0.5000 0.5000 0.0000
0.0000 0.0000 0.5000
0.0000 0.5000 0.0000
0.5000 0.0000 0.0000
0.5000 0.5000 0.5000
0.2274 0.2274 0.2384
0.2524 0.2524 0.7320
0.2755 0.7229 0.2636
0.2771 0.7245 0.7364
0.7229 0.2755 0.2636
0.7245 0.2771 0.7364
0.7476 0.7476 0.2680
0.7726 0.7726 0.7616
```